Record 1
Diffraction record for KScTiO4. The PXRD pattern is simulated, not measured: it uses the GGA-PBE geometry in Alexandria and Cu Kα (weighted mean of Kα1 and Kα2).

Main lines, by angle (2θ = 10–90°):
7.150 Å, I = 100
4.474 Å, I = 16
3.455 Å, I = 24
3.175 Å, I = 28
3.034 Å, I = 35
2.868 Å, I = 37
2.490 Å, I = 19
2.142 Å, I = 25

Crystal structure
Cell lengths 5.593, 5.735, 7.448 Å; angles 90.00, 106.26, 90.00 degrees
Element x y z (fractional)
K  0.085  0.250  0.126
K  0.915  0.750  0.874
Sc  0.153  0.750  0.464
Sc  0.847  0.250  0.536
Ti  0.402  0.250  0.664
Ti  0.598  0.750  0.336
O  0.168  0.016  0.664
O  0.168  0.484  0.664
O  0.265  0.750  0.211
O  0.448  0.250  0.437
O  0.552  0.750  0.563
O  0.735  0.250  0.789
O  0.832  0.516  0.336
O  0.832  0.984  0.336

Record 2
Diffraction record for Sm4Te3C. The PXRD pattern is simulated, not measured: it uses the GGA-PBE geometry in Alexandria and Cu Kα (weighted mean of Kα1 and Kα2).

Main lines, by angle (2θ = 10–90°):
4.196 Å, I = 100
3.073 Å, I = 82
2.793 Å, I = 30
2.650 Å, I = 37
2.584 Å, I = 48
2.479 Å, I = 49
2.393 Å, I = 29
1.978 Å, I = 42

Crystal structure
Cell lengths 9.409, 9.276, 6.146 Å; angles 90.00, 90.00, 90.00 degrees
Element x y z (fractional)
Sm  0.000  0.066  0.000
Sm  0.000  0.813  0.540
Sm  0.214  0.689  0.008
Sm  0.286  0.311  0.508
Sm  0.500  0.187  0.040
Sm  0.500  0.934  0.500
Sm  0.714  0.311  0.508
Sm  0.786  0.689  0.008
Te  0.000  0.135  0.504
Te  0.213  0.346  0.011
Te  0.287  0.654  0.511
Te  0.500  0.865  0.004
Te  0.713  0.654  0.511
Te  0.787  0.346  0.011
C  0.000  0.812  0.935
C  0.500  0.188  0.435

Record 3
Diffraction record for CeHo5Rh6. The PXRD pattern is simulated, not measured: it uses the GGA-PBE geometry in Alexandria and Cu Kα (weighted mean of Kα1 and Kα2).

Main lines, by angle (2θ = 10–90°):
2.434 Å, I = 100
2.397 Å, I = 48
1.748 Å, I = 9
1.695 Å, I = 17
1.412 Å, I = 18
1.391 Å, I = 34
1.217 Å, I = 11
1.102 Å, I = 8

Crystal structure
Cell lengths 7.576, 7.576, 6.990 Å; angles 90.00, 90.00, 143.07 degrees
Element x y z (fractional)
Ce  0.000  0.000  0.000
Ho  0.000  0.000  0.500
Ho  0.331  0.669  0.000
Ho  0.333  0.667  0.500
Ho  0.667  0.333  0.500
Ho  0.669  0.331  0.000
Rh  0.164  0.836  0.249
Rh  0.164  0.836  0.751
Rh  0.500  0.500  0.247
Rh  0.500  0.500  0.753
Rh  0.836  0.164  0.249
Rh  0.836  0.164  0.751

Record 4
Diffraction record for Li6AlZn. The PXRD pattern is simulated, not measured: it uses the GGA-PBE geometry in Alexandria and Cu Kα (weighted mean of Kα1 and Kα2).

Main lines, by angle (2θ = 10–90°):
5.516 Å, I = 100
3.860 Å, I = 28
3.440 Å, I = 37
2.936 Å, I = 22
2.447 Å, I = 16
2.337 Å, I = 51
2.165 Å, I = 30
2.043 Å, I = 15

Crystal structure
Cell lengths 4.400, 7.721, 7.882 Å; angles 90.00, 90.00, 90.00 degrees
Element x y z (fractional)
Li  0.000  0.000  0.000
Li  0.000  0.218  0.692
Li  0.000  0.282  0.192
Li  0.000  0.500  0.500
Li  0.000  0.718  0.192
Li  0.000  0.782  0.692
Li  0.500  0.000  0.637
Li  0.500  0.227  0.930
Li  0.500  0.273  0.430
Li  0.500  0.500  0.137
Li  0.500  0.727  0.430
Li  0.500  0.773  0.930
Al  0.000  0.000  0.402
Al  0.000  0.500  0.902
Zn  0.500  0.000  0.214
Zn  0.500  0.500  0.714

Record 5
Diffraction record for LiW6CCl18. The PXRD pattern is simulated, not measured: it uses the GGA-PBE geometry in Alexandria and Cu Kα (weighted mean of Kα1 and Kα2).

Main lines, by angle (2θ = 10–90°):
8.697 Å, I = 22
8.086 Å, I = 15
7.333 Å, I = 100
3.196 Å, I = 10
2.704 Å, I = 7
2.314 Å, I = 7
2.224 Å, I = 7
2.103 Å, I = 18

Crystal structure
Cell lengths 9.337, 9.337, 17.393 Å; angles 90.00, 90.00, 120.00 degrees
Element x y z (fractional)
Li  0.000  0.000  0.000
Li  0.000  0.000  0.500
W  0.187  0.708  0.166
W  0.187  0.708  0.334
W  0.292  0.479  0.166
W  0.292  0.479  0.334
W  0.479  0.187  0.666
W  0.479  0.187  0.834
W  0.521  0.813  0.166
W  0.521  0.813  0.334
W  0.708  0.521  0.666
W  0.708  0.521  0.834
W  0.813  0.292  0.666
W  0.813  0.292  0.834
C  0.333  0.667  0.250
C  0.667  0.333  0.750
Cl  0.011  0.238  0.597
Cl  0.011  0.238  0.903
Cl  0.050  0.464  0.750
Cl  0.066  0.288  0.250
Cl  0.101  0.484  0.077
Cl  0.101  0.484  0.423
Cl  0.222  0.934  0.250
Cl  0.227  0.989  0.597
Cl  0.227  0.989  0.903
Cl  0.238  0.227  0.097
Cl  0.238  0.227  0.403
Cl  0.288  0.222  0.750
Cl  0.383  0.899  0.077
Cl  0.383  0.899  0.423
Cl  0.415  0.950  0.750
Cl  0.464  0.415  0.250
Cl  0.484  0.383  0.577
Cl  0.484  0.383  0.923
Cl  0.516  0.617  0.077
Cl  0.516  0.617  0.423
Cl  0.536  0.585  0.750
Cl  0.585  0.050  0.250
Cl  0.617  0.101  0.577
Cl  0.617  0.101  0.923
Cl  0.712  0.778  0.250
Cl  0.762  0.773  0.597
Cl  0.762  0.773  0.903
Cl  0.773  0.011  0.097
Cl  0.773  0.011  0.403
Cl  0.778  0.066  0.750
Cl  0.899  0.516  0.577
Cl  0.899  0.516  0.923
Cl  0.934  0.712  0.750
Cl  0.950  0.536  0.250
Cl  0.989  0.762  0.097
Cl  0.989  0.762  0.403

Record 6
Diffraction record for Y4ScTe5. The PXRD pattern is simulated, not measured: it uses the GGA-PBE geometry in Alexandria and Cu Kα (weighted mean of Kα1 and Kα2).

Main lines, by angle (2θ = 10–90°):
3.165 Å, I = 42
3.012 Å, I = 100
2.712 Å, I = 22
2.182 Å, I = 59
2.130 Å, I = 37
1.767 Å, I = 30
1.347 Å, I = 16
1.239 Å, I = 18

Crystal structure
Cell lengths 16.109, 16.109, 16.109 Å; angles 164.80, 164.80, 21.55 degrees
Element x y z (fractional)
Y  0.108  0.108  0.000
Y  0.313  0.313  0.000
Y  0.687  0.687  0.000
Y  0.892  0.892  0.000
Sc  0.500  0.500  0.000
Te  0.000  0.000  0.000
Te  0.207  0.207  0.000
Te  0.409  0.409  0.000
Te  0.591  0.591  0.000
Te  0.793  0.793  0.000

Record 7
Diffraction record for AcLa2Tb12. The PXRD pattern is simulated, not measured: it uses the GGA-PBE geometry in Alexandria and Cu Kα (weighted mean of Kα1 and Kα2).

Main lines, by angle (2θ = 10–90°):
3.003 Å, I = 100
2.915 Å, I = 39
2.841 Å, I = 62
2.820 Å, I = 36
2.801 Å, I = 50
2.720 Å, I = 24
2.001 Å, I = 27
1.573 Å, I = 21

Crystal structure
Cell lengths 3.615, 5.682, 24.845 Å; angles 90.00, 94.12, 90.00 degrees
Element x y z (fractional)
Ac  0.000  0.000  0.000
La  0.359  0.000  0.723
La  0.641  0.000  0.277
Tb  0.074  0.000  0.140
Tb  0.105  0.500  0.203
Tb  0.169  0.500  0.333
Tb  0.214  0.000  0.430
Tb  0.278  0.500  0.554
Tb  0.457  0.500  0.922
Tb  0.543  0.500  0.078
Tb  0.722  0.500  0.446
Tb  0.786  0.000  0.570
Tb  0.831  0.500  0.667
Tb  0.895  0.500  0.797
Tb  0.926  0.000  0.860

Record 8
Diffraction record for Li2TmHg6. The PXRD pattern is simulated, not measured: it uses the GGA-PBE geometry in Alexandria and Cu Kα (weighted mean of Kα1 and Kα2).

Main lines, by angle (2θ = 10–90°):
4.127 Å, I = 11
3.846 Å, I = 20
2.584 Å, I = 100
2.380 Å, I = 23
2.175 Å, I = 27
1.606 Å, I = 21
1.410 Å, I = 16
1.322 Å, I = 14

Crystal structure
Cell lengths 9.226, 9.232, 4.760 Å; angles 90.00, 90.00, 90.00 degrees
Element x y z (fractional)
Li  0.195  0.203  0.000
Li  0.305  0.703  0.500
Li  0.695  0.297  0.500
Li  0.805  0.797  0.000
Tm  0.000  0.000  0.500
Tm  0.500  0.500  0.000
Hg  0.022  0.327  0.500
Hg  0.146  0.861  0.000
Hg  0.172  0.528  0.000
Hg  0.328  0.028  0.500
Hg  0.354  0.361  0.500
Hg  0.478  0.827  0.000
Hg  0.522  0.173  0.000
Hg  0.646  0.639  0.500
Hg  0.672  0.972  0.500
Hg  0.828  0.472  0.000
Hg  0.854  0.139  0.000
Hg  0.978  0.673  0.500

Record 9
Diffraction record for TlZn2Pt. The PXRD pattern is simulated, not measured: it uses the GGA-PBE geometry in Alexandria and Cu Kα (weighted mean of Kα1 and Kα2).

Main lines, by angle (2θ = 10–90°):
3.488 Å, I = 66
3.094 Å, I = 23
2.841 Å, I = 59
2.605 Å, I = 100
2.585 Å, I = 30
2.209 Å, I = 39
2.103 Å, I = 68
1.744 Å, I = 29

Crystal structure
Cell lengths 7.248, 4.418, 6.056 Å; angles 90.00, 121.38, 90.00 degrees
Element x y z (fractional)
Tl  0.000  0.000  0.000
Tl  0.500  0.500  0.000
Zn  0.218  0.000  0.635
Zn  0.282  0.500  0.365
Zn  0.718  0.500  0.635
Zn  0.782  0.000  0.365
Pt  0.000  0.500  0.500
Pt  0.500  0.000  0.500

Record 10
Diffraction record for Zr2PaHg3. The PXRD pattern is simulated, not measured: it uses the GGA-PBE geometry in Alexandria and Cu Kα (weighted mean of Kα1 and Kα2).

Main lines, by angle (2θ = 10–90°):
2.583 Å, I = 100
2.255 Å, I = 35
2.202 Å, I = 15
1.594 Å, I = 12
1.575 Å, I = 21
1.357 Å, I = 27
1.333 Å, I = 11
1.291 Å, I = 11

Crystal structure
Cell lengths 3.189, 3.189, 13.209 Å; angles 90.00, 90.00, 90.00 degrees
Element x y z (fractional)
Zr  0.000  0.000  0.160
Zr  0.000  0.000  0.840
Pa  0.000  0.000  0.500
Hg  0.500  0.500  0.000
Hg  0.500  0.500  0.321
Hg  0.500  0.500  0.679

Record 11
Diffraction record for Cs2AsCl5F. The PXRD pattern is simulated, not measured: it uses the GGA-PBE geometry in Alexandria and Cu Kα (weighted mean of Kα1 and Kα2).

Main lines, by angle (2θ = 10–90°):
6.041 Å, I = 47
3.713 Å, I = 100
3.674 Å, I = 36
3.021 Å, I = 97
2.654 Å, I = 31
2.598 Å, I = 64
2.128 Å, I = 42
1.856 Å, I = 40

Crystal structure
Cell lengths 7.427, 7.427, 7.427 Å; angles 120.71, 120.71, 88.78 degrees
Element x y z (fractional)
Cs  0.000  0.500  0.500
Cs  0.500  0.000  0.500
As  0.250  0.250  0.000
Cl  0.015  0.015  0.000
Cl  0.021  0.021  0.536
Cl  0.021  0.485  0.000
Cl  0.485  0.021  0.000
Cl  0.485  0.485  0.464
F  0.425  0.425  0.000

Record 12
Diffraction record for Al3SiNi3. The PXRD pattern is simulated, not measured: it uses the GGA-PBE geometry in Alexandria and Cu Kα (weighted mean of Kα1 and Kα2).

Main lines, by angle (2θ = 10–90°):
3.480 Å, I = 76
2.646 Å, I = 39
2.188 Å, I = 65
2.172 Å, I = 100
2.005 Å, I = 62
1.993 Å, I = 85
1.886 Å, I = 36
1.829 Å, I = 41

Crystal structure
Cell lengths 2.778, 7.595, 8.694 Å; angles 90.00, 90.00, 90.00 degrees
Element x y z (fractional)
Al  0.250  0.070  0.121
Al  0.250  0.430  0.121
Al  0.250  0.750  0.607
Al  0.750  0.250  0.393
Al  0.750  0.570  0.879
Al  0.750  0.930  0.879
Si  0.250  0.250  0.722
Si  0.750  0.750  0.278
Ni  0.250  0.528  0.380
Ni  0.250  0.750  0.054
Ni  0.250  0.972  0.380
Ni  0.750  0.028  0.620
Ni  0.750  0.250  0.946
Ni  0.750  0.472  0.620